[1]
Starting from the PBE geometry in Alexandria, the powder XRD pattern of PmHoS2O8 was simulated for Cu Kα.
No peak broadening, texture or thermal motion is included.

Most intense lines, 2θ from 10° to 80°, in order of rising 2θ:
2θ/deg, I_rel
18.1, 100.0
22.8, 18.9
31.6, 56.1
33.3, 67.6
42.5, 33.2
46.6, 34.9
49.1, 20.5
57.3, 27.9

Crystal structure
Lattice parameters (Å, degrees): 5.671 5.671 6.425 90.00 90.00 120.00
Atoms (fractional coordinates):
Pm 0.000 0.000 0.000
Ho 0.000 0.000 0.500
S 0.333 0.667 0.202
S 0.667 0.333 0.798
O 0.187 0.373 0.278
O 0.187 0.813 0.278
O 0.333 0.667 0.974
O 0.373 0.187 0.722
O 0.627 0.813 0.278
O 0.667 0.333 0.026
O 0.813 0.187 0.722
O 0.813 0.627 0.722



[2]
Starting from the PBE geometry in Alexandria, the powder XRD pattern of PmHoTc2O8 was simulated for Cu Kα.
No peak broadening, texture or thermal motion is included.

Most intense lines, 2θ from 10° to 80°, in order of rising 2θ:
2θ/deg, I_rel
28.8, 100.0
31.6, 14.0
34.2, 20.3
47.3, 30.8
49.2, 14.1
54.6, 16.6
58.0, 27.7
76.5, 18.7

Crystal structure
Lattice parameters (Å, degrees): 6.762 6.762 6.762 134.41 134.41 66.45
Atoms (fractional coordinates):
Pm 0.000 0.000 0.000
Ho 0.250 0.750 0.500
Tc 0.500 0.500 0.000
Tc 0.750 0.250 0.500
O 0.008 0.083 0.422
O 0.249 0.665 0.091
O 0.335 0.426 0.585
O 0.414 0.992 0.076
O 0.574 0.159 0.909
O 0.662 0.586 0.578
O 0.841 0.751 0.415
O 0.917 0.338 0.924



[3]
Starting from the PBE geometry in Alexandria, the powder XRD pattern of Pm3HoTl2O was simulated for Cu Kα.
No peak broadening, texture or thermal motion is included.

Most intense lines, 2θ from 10° to 80°, in order of rising 2θ:
2θ/deg, I_rel
26.7, 24.8
28.7, 69.6
32.0, 31.6
34.3, 100.0
37.4, 33.2
38.6, 30.4
50.1, 18.1
54.9, 22.1

Crystal structure
Lattice parameters (Å, degrees): 9.037 9.037 9.037 150.12 149.18 43.46
Atoms (fractional coordinates):
Pm 0.000 0.000 0.000
Pm 0.329 0.829 0.500
Pm 0.671 0.171 0.500
Ho 0.500 0.500 0.000
Tl 0.138 0.638 0.500
Tl 0.862 0.362 0.500
O 0.500 0.000 0.500



[4]
Starting from the PBE geometry in Alexandria, the powder XRD pattern of Pm2HoUO8 was simulated for Cu Kα.
No peak broadening, texture or thermal motion is included.

Most intense lines, 2θ from 10° to 80°, in order of rising 2θ:
2θ/deg, I_rel
28.1, 100.0
28.6, 96.3
32.8, 21.9
32.9, 43.2
46.7, 17.6
47.1, 67.5
55.6, 45.7
56.4, 29.2

Crystal structure
Lattice parameters (Å, degrees): 3.894 5.467 7.613 90.00 90.00 90.00
Atoms (fractional coordinates):
Pm 0.000 0.000 0.250
Pm 0.000 0.000 0.750
Ho 0.500 0.500 0.000
U 0.500 0.500 0.500
O 0.000 0.258 0.000
O 0.000 0.275 0.500
O 0.000 0.725 0.500
O 0.000 0.742 0.000
O 0.500 0.266 0.273
O 0.500 0.266 0.727
O 0.500 0.734 0.273
O 0.500 0.734 0.727



[5]
Starting from the PBE geometry in Alexandria, the powder XRD pattern of Pr2HoO was simulated for Cu Kα.
No peak broadening, texture or thermal motion is included.

Most intense lines, 2θ from 10° to 80°, in order of rising 2θ:
2θ/deg, I_rel
28.3, 100.0
28.7, 42.8
28.8, 32.0
36.1, 31.6
38.3, 70.5
43.1, 23.3
49.8, 35.8
58.4, 35.4

Crystal structure
Lattice parameters (Å, degrees): 9.580 9.580 9.580 22.06 22.06 22.06
Atoms (fractional coordinates):
Pr 0.118 0.118 0.118
Pr 0.882 0.882 0.882
Ho 0.000 0.000 0.000
O 0.500 0.500 0.500



[6]
Starting from the PBE geometry in Alexandria, the powder XRD pattern of HoPu2O11 was simulated for Cu Kα.
No peak broadening, texture or thermal motion is included.

Most intense lines, 2θ from 10° to 80°, in order of rising 2θ:
2θ/deg, I_rel
16.8, 40.1
17.6, 26.8
21.8, 30.8
24.4, 100.0
27.4, 58.5
27.9, 65.3
44.5, 37.8
45.5, 36.7

Crystal structure
Lattice parameters (Å, degrees): 8.389 8.389 8.389 121.04 105.98 102.06
Atoms (fractional coordinates):
Ho 0.250 0.250 0.000
Ho 0.750 0.750 0.000
Pu 0.233 0.718 0.951
Pu 0.267 0.218 0.485
Pu 0.733 0.782 0.515
Pu 0.767 0.282 0.049
O 0.000 0.500 0.500
O 0.005 0.324 0.080
O 0.027 0.013 0.290
O 0.160 0.457 0.617
O 0.222 0.513 0.986
O 0.244 0.925 0.920
O 0.256 0.176 0.681
O 0.278 0.263 0.290
O 0.340 0.957 0.298
O 0.473 0.763 0.986
O 0.495 0.575 0.319
O 0.500 0.000 0.500
O 0.505 0.425 0.681
O 0.527 0.237 0.014
O 0.660 0.043 0.702
O 0.722 0.737 0.710
O 0.744 0.824 0.319
O 0.756 0.075 0.080
O 0.778 0.487 0.014
O 0.840 0.543 0.383
O 0.973 0.987 0.710
O 0.995 0.676 0.920



[7]
Starting from the PBE geometry in Alexandria, the powder XRD pattern of Ho3PuO7 was simulated for Cu Kα.
No peak broadening, texture or thermal motion is included.

Most intense lines, 2θ from 10° to 80°, in order of rising 2θ:
2θ/deg, I_rel
28.7, 100.0
29.0, 96.7
33.4, 71.5
47.6, 16.4
48.0, 59.3
48.4, 13.9
56.7, 30.1
57.2, 26.9

Crystal structure
Lattice parameters (Å, degrees): 6.541 6.541 7.644 90.00 90.00 109.81
Atoms (fractional coordinates):
Ho 0.000 0.000 0.000
Ho 0.000 0.000 0.500
Ho 0.033 0.504 0.750
Ho 0.496 0.967 0.750
Ho 0.504 0.033 0.250
Ho 0.967 0.496 0.250
Pu 0.500 0.500 0.000
Pu 0.500 0.500 0.500
O 0.133 0.867 0.250
O 0.134 0.866 0.750
O 0.163 0.414 0.030
O 0.163 0.414 0.470
O 0.405 0.595 0.750
O 0.414 0.163 0.530
O 0.414 0.163 0.970
O 0.586 0.837 0.030
O 0.586 0.837 0.470
O 0.595 0.405 0.250
O 0.837 0.586 0.530
O 0.837 0.586 0.970
O 0.866 0.134 0.250
O 0.867 0.133 0.750



[8]
Starting from the PBE geometry in Alexandria, the powder XRD pattern of Ho2PuRhO8 was simulated for Cu Kα.
No peak broadening, texture or thermal motion is included.

Most intense lines, 2θ from 10° to 80°, in order of rising 2θ:
2θ/deg, I_rel
22.2, 13.0
24.7, 62.1
25.6, 54.2
32.4, 100.0
35.9, 31.7
48.6, 42.4
49.6, 36.9
62.3, 22.7

Crystal structure
Lattice parameters (Å, degrees): 5.005 6.641 5.009 90.00 91.88 90.00
Atoms (fractional coordinates):
Ho 0.000 0.241 0.000
Ho 0.000 0.759 0.000
Pu 0.500 0.500 0.500
Rh 0.500 0.000 0.500
O 0.207 0.500 0.205
O 0.217 0.000 0.215
O 0.320 0.248 0.679
O 0.320 0.752 0.679
O 0.680 0.248 0.321
O 0.680 0.752 0.321
O 0.783 0.000 0.785
O 0.793 0.500 0.795



[9]
Starting from the PBE geometry in Alexandria, the powder XRD pattern of HoPuSi2O8 was simulated for Cu Kα.
No peak broadening, texture or thermal motion is included.

Most intense lines, 2θ from 10° to 80°, in order of rising 2θ:
2θ/deg, I_rel
19.2, 93.2
25.7, 100.0
32.3, 40.4
34.3, 73.5
36.7, 23.4
41.8, 25.0
49.7, 24.5
51.1, 60.0

Crystal structure
Lattice parameters (Å, degrees): 5.794 5.794 5.794 106.56 106.56 115.46
Atoms (fractional coordinates):
Ho 0.000 0.000 0.000
Pu 0.750 0.250 0.500
Si 0.250 0.750 0.500
Si 0.500 0.500 0.000
O 0.075 0.397 0.322
O 0.075 0.753 0.678
O 0.147 0.330 0.817
O 0.247 0.925 0.322
O 0.513 0.330 0.183
O 0.603 0.925 0.678
O 0.670 0.487 0.817
O 0.670 0.853 0.183



[10]
Starting from the PBE geometry in Alexandria, the powder XRD pattern of HoPuTl2O6 was simulated for Cu Kα.
No peak broadening, texture or thermal motion is included.

Most intense lines, 2θ from 10° to 80°, in order of rising 2θ:
2θ/deg, I_rel
17.8, 2.3
29.3, 100.0
34.4, 1.0
41.8, 26.2
51.9, 42.4
60.7, 17.2
68.8, 18.9
76.4, 5.8

Crystal structure
Lattice parameters (Å, degrees): 6.106 6.106 6.106 60.00 60.00 60.00
Atoms (fractional coordinates):
Ho 0.000 0.000 0.000
Pu 0.500 0.500 0.500
Tl 0.250 0.250 0.250
Tl 0.750 0.750 0.750
O 0.263 0.266 0.735
O 0.265 0.737 0.734
O 0.266 0.735 0.263
O 0.734 0.265 0.737
O 0.735 0.263 0.266
O 0.737 0.734 0.265



[11]
Starting from the PBE geometry in Alexandria, the powder XRD pattern of Rb2HoSeO6 was simulated for Cu Kα.
No peak broadening, texture or thermal motion is included.

Most intense lines, 2θ from 10° to 80°, in order of rising 2θ:
2θ/deg, I_rel
15.8, 98.9
22.2, 52.0
27.5, 100.0
35.4, 39.7
35.7, 34.6
42.3, 29.1
45.4, 34.1
53.9, 31.0

Crystal structure
Lattice parameters (Å, degrees): 6.484 6.484 5.692 90.00 90.00 120.00
Atoms (fractional coordinates):
Rb 0.333 0.667 0.382
Rb 0.667 0.333 0.618
Ho 0.000 0.000 0.000
Se 0.000 0.000 0.500
O 0.131 0.262 0.694
O 0.131 0.869 0.694
O 0.262 0.131 0.306
O 0.738 0.869 0.694
O 0.869 0.131 0.306
O 0.869 0.738 0.306



[12]
Starting from the PBE geometry in Alexandria, the powder XRD pattern of Rb3HoTe2O9 was simulated for Cu Kα.
No peak broadening, texture or thermal motion is included.

Most intense lines, 2θ from 10° to 80°, in order of rising 2θ:
2θ/deg, I_rel
21.3, 13.2
30.2, 100.0
43.3, 31.4
53.7, 29.8
53.8, 9.9
62.8, 9.5
62.9, 9.6
71.4, 17.8

Crystal structure
Lattice parameters (Å, degrees): 5.906 5.906 7.251 90.00 90.00 120.00
Atoms (fractional coordinates):
Rb 0.000 0.000 0.000
Rb 0.333 0.667 0.667
Rb 0.667 0.333 0.333
Ho 0.000 0.000 0.500
Te 0.333 0.667 0.169
Te 0.667 0.333 0.831
O 0.000 0.500 0.000
O 0.177 0.355 0.315
O 0.177 0.823 0.315
O 0.355 0.177 0.685
O 0.500 0.000 0.000
O 0.500 0.500 0.000
O 0.645 0.823 0.315
O 0.823 0.177 0.685
O 0.823 0.645 0.685



[13]
Starting from the PBE geometry in Alexandria, the powder XRD pattern of Rb2HoUO6 was simulated for Cu Kα.
No peak broadening, texture or thermal motion is included.

Most intense lines, 2θ from 10° to 80°, in order of rising 2θ:
2θ/deg, I_rel
20.3, 26.1
28.9, 100.0
41.4, 29.5
46.5, 12.3
51.3, 42.0
59.9, 19.0
67.9, 18.8
75.4, 6.4

Crystal structure
Lattice parameters (Å, degrees): 6.174 6.174 6.174 60.00 60.00 60.00
Atoms (fractional coordinates):
Rb 0.250 0.250 0.250
Rb 0.750 0.750 0.750
Ho 0.000 0.000 0.000
U 0.500 0.500 0.500
O 0.261 0.261 0.739
O 0.261 0.739 0.261
O 0.261 0.739 0.739
O 0.739 0.261 0.261
O 0.739 0.261 0.739
O 0.739 0.739 0.261